This entry pairs a crystal structure of CoAuNO with its simulated powder diffractogram. Radiation: Cu Kα (λ = 1.5418 Å). Structure: a DFT-relaxed cell (PBE+U, OQMD).

a b c (Å): 3.083 6.114 5.436
angles (deg): 90.00 90.00 90.00
Atoms (fractional coordinates):
1 Co 0.000 0.126 0.000
2 Co 0.000 0.874 0.500
3 Au 0.500 0.427 0.563
4 Au 0.500 0.573 0.063
5 N 0.500 0.269 0.894
6 N 0.500 0.731 0.394
7 O 0.000 0.135 0.341
8 O 0.000 0.865 0.841

The 10 most intense peaks (15° ≤ 2θ ≤ 90°), low angle first:
2θ 29.0, 3.083 Å, I 21; 2θ 32.5, 2.753 Å, I 100; 2θ 33.0, 2.718 Å, I 45; 2θ 33.6, 2.665 Å, I 74; 2θ 36.2, 2.484 Å, I 35; 2θ 36.6, 2.456 Å, I 38; 2θ 44.4, 2.039 Å, I 25; 2θ 47.0, 1.934 Å, I 53; 2θ 56.7, 1.623 Å, I 43; 2θ 71.0, 1.328 Å, I 21

=====

This entry pairs a crystal structure of Na4CoAuO5 with its simulated powder diffractogram. Radiation: Cu Kα (λ = 1.5418 Å). Structure: a DFT-relaxed cell (PBE+U, OQMD).

a b c (Å): 5.524 5.524 10.431
angles (deg): 90.00 90.00 62.93
Atoms (fractional coordinates):
1 Na 0.142 0.487 0.750
2 Na 0.168 0.168 0.000
3 Na 0.168 0.168 0.500
4 Na 0.487 0.142 0.250
5 Na 0.513 0.858 0.750
6 Na 0.832 0.832 0.000
7 Na 0.832 0.832 0.500
8 Na 0.858 0.513 0.250
9 Co 0.227 0.773 0.250
10 Co 0.773 0.227 0.750
11 Au 0.500 0.500 0.000
12 Au 0.500 0.500 0.500
13 O 0.077 0.923 0.750
14 O 0.202 0.515 0.118
15 O 0.202 0.515 0.382
16 O 0.485 0.798 0.118
17 O 0.485 0.798 0.382
18 O 0.515 0.202 0.618
19 O 0.515 0.202 0.882
20 O 0.798 0.485 0.618
21 O 0.798 0.485 0.882
22 O 0.923 0.077 0.250

The 10 most intense peaks (15° ≤ 2θ ≤ 90°), low angle first:
2θ 17.0, 5.216 Å, I 24; 2θ 18.0, 4.919 Å, I 96; 2θ 18.8, 4.712 Å, I 55; 2θ 24.9, 3.579 Å, I 100; 2θ 34.4, 2.608 Å, I 29; 2θ 35.6, 2.523 Å, I 58; 2θ 36.9, 2.439 Å, I 84; 2θ 40.6, 2.224 Å, I 36; 2θ 48.0, 1.895 Å, I 26; 2θ 56.1, 1.640 Å, I 29